[1]
The following is a simulated powder X-ray diffraction pattern of Ho2O3. It was derived from a GGA-PBE-relaxed structure, using a wavelength of 1.5418 Å.

Principal peaks in the range 5° ≤ 2θ ≤ 70°, low angle first:
2θ/deg  d/Å  I_rel
28.19  3.166  28
30.52  2.929  28
32.14  2.785  100
42.02  2.150  24
49.89  1.828  30
55.27  1.662  27
59.62  1.551  26
60.59  1.528  17

Structural model:
a = 3.656 Å, b = 3.656 Å, c = 5.859 Å
α = 90.00°, β = 90.00°, γ = 120.00°
Positions (direct):
Ho (0.333, 0.667, 0.250)
Ho (0.667, 0.333, 0.750)
O (0.000, 0.000, 0.000)
O (0.333, 0.667, 0.646)
O (0.667, 0.333, 0.354)

---

[2]
The following is a simulated powder X-ray diffraction pattern of HoO3. It was derived from a GGA-PBE-relaxed structure, using a wavelength of 1.5418 Å.

Principal peaks in the range 5° ≤ 2θ ≤ 70°, low angle first:
2θ/deg  d/Å  I_rel
22.09  4.024  41
29.37  3.041  100
38.77  2.323  58
45.07  2.012  24
49.36  1.846  50
55.99  1.642  25
60.92  1.521  12
64.48  1.445  38

Structural model:
a = 4.646 Å, b = 4.646 Å, c = 4.644 Å
α = 90.00°, β = 90.00°, γ = 120.00°
Positions (direct):
Ho (0.333, 0.667, 0.250)
Ho (0.667, 0.333, 0.750)
O (0.180, 0.361, 0.750)
O (0.180, 0.820, 0.750)
O (0.361, 0.180, 0.250)
O (0.639, 0.820, 0.750)
O (0.820, 0.180, 0.250)
O (0.820, 0.639, 0.250)

---

[3]
The following is a simulated powder X-ray diffraction pattern of Ho2P4O13. It was derived from a GGA-PBE-relaxed structure, using a wavelength of 1.5418 Å.

Principal peaks in the range 5° ≤ 2θ ≤ 70°, low angle first:
2θ/deg  d/Å  I_rel
14.41  6.148  100
20.22  4.393  80
22.73  3.912  54
24.76  3.595  95
25.26  3.526  100
34.13  2.627  43
37.16  2.420  47
50.01  1.824  43

Structural model:
a = 9.466 Å, b = 9.466 Å, c = 8.606 Å
α = 90.00°, β = 90.00°, γ = 136.26°
Positions (direct):
Ho (0.099, 0.393, 0.147)
Ho (0.393, 0.099, 0.853)
Ho (0.607, 0.901, 0.353)
Ho (0.901, 0.607, 0.647)
P (0.085, 0.404, 0.503)
P (0.220, 0.337, 0.775)
P (0.337, 0.220, 0.225)
P (0.404, 0.085, 0.497)
P (0.596, 0.915, 0.997)
P (0.663, 0.780, 0.725)
P (0.780, 0.663, 0.275)
P (0.915, 0.596, 0.003)
O (0.027, 0.483, 0.609)
O (0.082, 0.760, 0.886)
O (0.113, 0.341, 0.899)
O (0.117, 0.287, 0.608)
O (0.197, 0.243, 0.204)
O (0.240, 0.918, 0.614)
O (0.243, 0.197, 0.796)
O (0.278, 0.568, 0.402)
O (0.287, 0.117, 0.392)
O (0.341, 0.113, 0.101)
O (0.432, 0.722, 0.098)
O (0.438, 0.562, 0.750)
O (0.483, 0.027, 0.391)
O (0.517, 0.973, 0.891)
O (0.562, 0.438, 0.250)
O (0.568, 0.278, 0.598)
O (0.659, 0.887, 0.601)
O (0.713, 0.883, 0.892)
O (0.722, 0.432, 0.902)
O (0.757, 0.803, 0.296)
O (0.760, 0.082, 0.114)
O (0.803, 0.757, 0.704)
O (0.883, 0.713, 0.108)
O (0.887, 0.659, 0.399)
O (0.918, 0.240, 0.386)
O (0.973, 0.517, 0.109)

---

[4]
The following is a simulated powder X-ray diffraction pattern of Ho2P4O13. It was derived from a GGA-PBE-relaxed structure, using a wavelength of 1.5418 Å.

Principal peaks in the range 5° ≤ 2θ ≤ 70°, low angle first:
2θ/deg  d/Å  I_rel
14.19  6.242  68
15.42  5.747  88
19.30  4.599  63
23.78  3.742  39
26.31  3.388  51
26.73  3.335  54
30.51  2.930  100
30.63  2.919  49

Structural model:
a = 6.875 Å, b = 6.875 Å, c = 12.994 Å
α = 103.98°, β = 103.98°, γ = 59.05°
Positions (direct):
Ho (0.191, 0.195, 0.051)
Ho (0.195, 0.191, 0.551)
Ho (0.805, 0.809, 0.449)
Ho (0.809, 0.805, 0.949)
P (0.261, 0.273, 0.340)
P (0.273, 0.261, 0.840)
P (0.340, 0.636, 0.134)
P (0.364, 0.660, 0.366)
P (0.636, 0.340, 0.634)
P (0.660, 0.364, 0.866)
P (0.727, 0.739, 0.160)
P (0.739, 0.727, 0.660)
O (0.062, 0.426, 0.407)
O (0.074, 0.424, 0.905)
O (0.175, 0.816, 0.060)
O (0.184, 0.825, 0.440)
O (0.193, 0.205, 0.224)
O (0.205, 0.193, 0.724)
O (0.256, 0.744, 0.250)
O (0.378, 0.397, 0.103)
O (0.397, 0.378, 0.603)
O (0.400, 0.407, 0.347)
O (0.407, 0.400, 0.847)
O (0.424, 0.074, 0.405)
O (0.426, 0.062, 0.907)
O (0.574, 0.938, 0.093)
O (0.576, 0.926, 0.595)
O (0.593, 0.600, 0.153)
O (0.600, 0.593, 0.653)
O (0.603, 0.622, 0.397)
O (0.622, 0.603, 0.897)
O (0.744, 0.256, 0.750)
O (0.795, 0.807, 0.276)
O (0.807, 0.795, 0.776)
O (0.816, 0.175, 0.560)
O (0.825, 0.184, 0.940)
O (0.926, 0.576, 0.095)
O (0.938, 0.574, 0.593)

---

[5]
The following is a simulated powder X-ray diffraction pattern of HoP2O2. It was derived from a GGA-PBE-relaxed structure, using a wavelength of 1.5418 Å.

Principal peaks in the range 5° ≤ 2θ ≤ 70°, low angle first:
2θ/deg  d/Å  I_rel
10.95  8.080  100
21.57  4.119  18
22.00  4.040  23
26.32  3.386  18
34.29  2.615  10
35.67  2.517  7
40.58  2.223  13
43.96  2.060  13

Structural model:
a = 10.126 Å, b = 10.126 Å, c = 10.126 Å
α = 123.56°, β = 123.56°, γ = 83.93°
Positions (direct):
Ho (0.000, 0.000, 0.000)
Ho (0.000, 0.000, 0.500)
Ho (0.000, 0.500, 0.000)
Ho (0.500, 0.000, 0.500)
P (0.070, 0.180, 0.890)
P (0.180, 0.070, 0.390)
P (0.180, 0.789, 0.110)
P (0.211, 0.820, 0.390)
P (0.789, 0.180, 0.610)
P (0.820, 0.211, 0.890)
P (0.820, 0.930, 0.610)
P (0.930, 0.820, 0.110)
O (0.143, 0.189, 0.545)
O (0.143, 0.598, 0.955)
O (0.189, 0.143, 0.045)
O (0.402, 0.857, 0.545)
O (0.598, 0.143, 0.455)
O (0.811, 0.857, 0.955)
O (0.857, 0.402, 0.045)
O (0.857, 0.811, 0.455)

---

What did the fourth record say?
The following is a simulated powder X-ray diffraction pattern of Ho2P4O13. It was derived from a GGA-PBE-relaxed structure, using a wavelength of 1.5418 Å.

Principal peaks in the range 5° ≤ 2θ ≤ 70°, low angle first:
2θ/deg  d/Å  I_rel
14.19  6.242  68
15.42  5.747  88
19.30  4.599  63
23.78  3.742  39
26.31  3.388  51
26.73  3.335  54
30.51  2.930  100
30.63  2.919  49

Structural model:
a = 6.875 Å, b = 6.875 Å, c = 12.994 Å
α = 103.98°, β = 103.98°, γ = 59.05°
Positions (direct):
Ho (0.191, 0.195, 0.051)
Ho (0.195, 0.191, 0.551)
Ho (0.805, 0.809, 0.449)
Ho (0.809, 0.805, 0.949)
P (0.261, 0.273, 0.340)
P (0.273, 0.261, 0.840)
P (0.340, 0.636, 0.134)
P (0.364, 0.660, 0.366)
P (0.636, 0.340, 0.634)
P (0.660, 0.364, 0.866)
P (0.727, 0.739, 0.160)
P (0.739, 0.727, 0.660)
O (0.062, 0.426, 0.407)
O (0.074, 0.424, 0.905)
O (0.175, 0.816, 0.060)
O (0.184, 0.825, 0.440)
O (0.193, 0.205, 0.224)
O (0.205, 0.193, 0.724)
O (0.256, 0.744, 0.250)
O (0.378, 0.397, 0.103)
O (0.397, 0.378, 0.603)
O (0.400, 0.407, 0.347)
O (0.407, 0.400, 0.847)
O (0.424, 0.074, 0.405)
O (0.426, 0.062, 0.907)
O (0.574, 0.938, 0.093)
O (0.576, 0.926, 0.595)
O (0.593, 0.600, 0.153)
O (0.600, 0.593, 0.653)
O (0.603, 0.622, 0.397)
O (0.622, 0.603, 0.897)
O (0.744, 0.256, 0.750)
O (0.795, 0.807, 0.276)
O (0.807, 0.795, 0.776)
O (0.816, 0.175, 0.560)
O (0.825, 0.184, 0.940)
O (0.926, 0.576, 0.095)
O (0.938, 0.574, 0.593)

---

Repeat the second record exactly.
The following is a simulated powder X-ray diffraction pattern of HoO3. It was derived from a GGA-PBE-relaxed structure, using a wavelength of 1.5418 Å.

Principal peaks in the range 5° ≤ 2θ ≤ 70°, low angle first:
2θ/deg  d/Å  I_rel
22.09  4.024  41
29.37  3.041  100
38.77  2.323  58
45.07  2.012  24
49.36  1.846  50
55.99  1.642  25
60.92  1.521  12
64.48  1.445  38

Structural model:
a = 4.646 Å, b = 4.646 Å, c = 4.644 Å
α = 90.00°, β = 90.00°, γ = 120.00°
Positions (direct):
Ho (0.333, 0.667, 0.250)
Ho (0.667, 0.333, 0.750)
O (0.180, 0.361, 0.750)
O (0.180, 0.820, 0.750)
O (0.361, 0.180, 0.250)
O (0.639, 0.820, 0.750)
O (0.820, 0.180, 0.250)
O (0.820, 0.639, 0.250)